Diffraction record for Pm8Co3HI3. The X-ray diffraction stick pattern is computed, not measured: it uses a structure optimized by DFT (GGA-PBE) and copper Kα.

Atomic structure:
Cell: 13.858 8.011 9.161 Å, 90.00 120.23 90.00°
Space group C2/m (No. 12)
Inequivalent atoms, fractional coordinates:
1 Pm 0.024 0.246 0.317
2 Pm 0.228 0.000 0.683
3 Pm 0.230 0.500 0.683
4 Co 0.000 0.000 0.500
5 Co 0.250 0.250 0.500
6 H 0.000 0.500 0.500
7 I 0.000 0.500 0.000
8 I 0.250 0.250 0.000

Largest 10 diffraction maxima, low angle first, 2θ = 5–70°:
| Position (°2θ) | Rel. int. | hkl |
| --- | --- | --- |
| 26.79 | 17.0 | 4 0 -2 |
| 29.85 | 100.0 | 2 2 -2 |
| 31.96 | 30.5 | 2 2 1 |
| 33.98 | 16.5 | 0 0 3 |
| 37.08 | 14.3 | 4 0 1 |
| 39.99 | 21.4 | 4 0 -4 |
| 45.31 | 39.0 | 0 4 0 |
| 55.18 | 11.6 | 4 4 0 |
| 56.99 | 11.9 | 2 2 -5 |
| 57.82 | 21.7 | 6 2 1 |